MgTaIr2: computed X-ray powder pattern (Cu Kα (weighted mean of Kα1 and Kα2)), based on a crystal structure in the Materials Project, relaxed with GGA-PBE.
Neutral-atom scattering factors, no anomalous dispersion.

Structural model:
```
MgTaIr2
1.0
0.000 3.164 3.164
3.164 0.000 3.164
3.164 3.164 0.000
Mg Ta Ir
1 1 2
direct
0.000 0.000 0.000 Mg
0.500 0.500 0.500 Ta
0.250 0.250 0.250 Ir
0.750 0.750 0.750 Ir
```

Peak list (8 most intense, 2θ from 5° to 70°, in order of rising 2θ)
2θ/deg	intensity
24.36	17
28.20	11
40.31	100
47.66	9
49.92	3
58.32	17
64.15	4
66.02	4